Starting from DFT lattice parameters and positions (GGA+U), the powder diffractogram of Cs2VHO4 was simulated for λ = 1.5418 Å (Cu Kα).
Lines closer than 0.1° are merged.

```
Cs2VHO4
1.0
2.6117 -6.6468 0.0000
2.6117 6.6468 0.0000
0.0000 0.0000 10.4755
Cs V H O
4 2 2 8
Direct
0.0803 0.9197 0.5000
0.3649 0.6351 0.6608
0.6351 0.3649 0.1608
0.9197 0.0803 0.0000
0.3443 0.6557 0.2981
0.6557 0.3443 0.7981
0.1277 0.8723 0.8865
0.8723 0.1277 0.3865
0.1080 0.3517 0.3920
0.2169 0.7831 0.2707
0.3517 0.1080 0.8920
0.4083 0.5917 0.1553
0.5917 0.4083 0.6553
0.6483 0.8920 0.3920
0.7831 0.2169 0.7707
0.8920 0.6483 0.8920
```

The 10 most intense peaks (10 to 90 degrees two-theta), by intensity:
2theta, intensity
24.99, 100
28.88, 68
20.14, 66
27.74, 55
26.83, 36
45.46, 36
34.33, 30
39.06, 27
26.38, 27
31.52, 26